Structure and simulated X-ray powder pattern of Li2NpCl2O2 (a crystal structure in Alexandria, relaxed with GGA-PBE; Cu Ka).
Kinematic intensities with the Lorentz-polarization factor, no thermal factor.

Structure:
Cell: 12.608 3.830 6.115 Å, 90.00 118.44 90.00°
Space group C2/m (No. 12)
Unique sites:
Li 0.241 0.000 0.157 x4
Np 0.000 0.500 0.000 x2
Cl 0.105 0.000 0.376 x4
O 0.157 0.500 0.005 x4

Most intense lines, 2θ from 15° to 90°, in order of rising 2θ:
| d (Å) | 2theta | I (rel.) | hkl |
| --- | --- | --- | --- |
| 5.544 | 16.0 | 87 | 2 0 0 |
| 5.377 | 16.5 | 76 | 0 0 1 |
| 5.332 | 16.6 | 100 | 2 0 -1 |
| 3.620 | 24.6 | 46 | 1 1 0 |
| 3.246 | 27.5 | 62 | 1 1 -1 |
| 3.149 | 28.3 | 35 | 4 0 -1 |
| 2.808 | 31.9 | 72 | 1 1 1 |
| 2.661 | 33.7 | 38 | 3 1 0 |
| 2.340 | 38.5 | 32 | 1 1 -2 |
| 2.332 | 38.6 | 30 | 3 1 -2 |
| 1.919 | 47.4 | 20 | 5 1 0 |
| 1.803 | 50.6 | 21 | 2 2 -1 |